# NdMg
Computed PXRD pattern, copper Kα. Input: DFT lattice parameters and positions (PBE).
Kinematic intensities with the Lorentz-polarization factor, no thermal factor.

Largest 7 diffraction maxima, in order of falling intensity, 5 to 70 degrees two-theta:
2θ (°)  I_rel  (hkl)
32.6  100  1 1 0
22.9  59  1 0 0
58.2  38  2 1 1
52.7  25  2 1 0
40.2  18  1 1 1
46.8  18  2 0 0
68.3  12  2 2 0

Cell and atoms:
```
data_NdMg
_symmetry_space_group_name_H-M 'P m -3 m'
_symmetry_Int_Tables_number 221
_symmetry_space_group_name_Hall '-P 4 2 3'
_cell_length_a 3.885
_cell_length_b 3.885
_cell_length_c 3.885
_cell_angle_alpha 90.00
_cell_angle_beta 90.00
_cell_angle_gamma 90.00
loop_
_atom_site_label
_atom_site_type_symbol
_atom_site_fract_x
_atom_site_fract_y
_atom_site_fract_z
_atom_site_occupancy
Nd1 Nd 0.000 0.000 0.000 1
Mg1 Mg 0.500 0.500 0.500 1
```